Entry 1:
Diffraction record for UGe2Rh2. The powder X-ray diffraction pattern is computed, not measured: it uses a PBE-relaxed structure and a wavelength of 1.5418 Å.
Lines closer than 0.1° are merged.

Top 8 peaks for 10° ≤ 2θ ≤ 90°, by intensity:
two_theta  Rel. int.
35.3  1000
33.7  563
44.1  457
56.6  260
48.8  250
75.4  226
67.9  190
23.3  178

Crystal structure
```
data_UGe2Rh2
_chemical_formula_sum 'U2 Ge4 Rh4'
_space_group_name_H-M_alt 'I 4/m m m'
_space_group_IT_number 139
_space_group_name_Hall '-I 4 2'
_cell_length_a 4.105
_cell_length_b 4.105
_cell_length_c 10.480
_cell_angle_alpha 90.00
_cell_angle_beta 90.00
_cell_angle_gamma 90.00
loop_
_atom_site_label
_atom_site_type_symbol
_atom_site_fract_x
_atom_site_fract_y
_atom_site_fract_z
U1 U 0.000 0.000 0.000
Ge1 Ge 0.000 0.000 0.382
Rh1 Rh 0.000 0.500 0.250
```

=====

Entry 2:
Diffraction record for CeDyFe4. The powder X-ray diffraction pattern is computed, not measured: it uses a PBE-relaxed structure and a wavelength of 1.5418 Å.
Lines closer than 0.1° are merged.

Top 8 peaks for 10° ≤ 2θ ≤ 90°, by intensity:
two_theta  Rel. int.
41.1  1000
34.8  653
66.7  304
62.4  241
73.5  220
43.0  148
21.1  143
87.8  108

Crystal structure
```
data_CeDyFe4
_chemical_formula_sum 'Ce4 Dy4 Fe16'
_space_group_name_H-M_alt 'F -4 3 m'
_space_group_IT_number 216
_space_group_name_Hall 'F -4 2 3'
_cell_length_a 7.288
_cell_length_b 7.288
_cell_length_c 7.288
_cell_angle_alpha 90.00
_cell_angle_beta 90.00
_cell_angle_gamma 90.00
loop_
_atom_site_label
_atom_site_type_symbol
_atom_site_fract_x
_atom_site_fract_y
_atom_site_fract_z
Ce1 Ce 0.000 0.000 0.000
Dy1 Dy 0.250 0.250 0.250
Fe1 Fe 0.125 0.125 0.625
```